# LiGdAsO
Theoretical X-ray diffraction stick pattern, Cu Kα (λ = 1.5418 Å). Input: a crystal structure in OQMD, relaxed with GGA-PBE.

Principal peaks in the range 10 to 90 degrees two-theta, by angle:
hkl	Position (°2θ)	I_rel
1 0 0	21.39	10
0 0 2	24.88	33
1 1 1	33.04	100
2 0 0	43.57	12
0 2 0	43.82	35
1 2 0	49.26	6
2 0 2	50.82	10
1 0 4	55.96	22
2 2 0	63.51	23
3 1 1	73.30	10
1 2 4	73.66	20
3 0 4	89.49	6

Cell and atoms:
```
data_LiGdAsO
_cell_length_a 4.155
_cell_length_b 4.135
_cell_length_c 7.151
_cell_angle_alpha 90.00
_cell_angle_beta 90.00
_cell_angle_gamma 90.00
_space_group_name_H-M_alt 'P m c 21'
_space_group_IT_number 26
loop_
_space_group_symop_operation_xyz
'x,y,z'
'-x,-y,z+1/2'
'-x,y,z'
'x,-y,z+1/2'
loop_
_atom_site_label
_atom_site_fract_x
_atom_site_fract_y
_atom_site_fract_z
Li1 0.000 0.249 0.000
Gd1 0.500 0.250 0.667
As1 0.000 0.250 0.334
O1 0.500 0.250 0.001
```